For YP2N4, DFT lattice parameters and positions (PBE) gives the computed powder X-ray diffraction pattern in this record (Cu Kα (weighted mean of Kα1 and Kα2)).
Peak positions follow from Bragg's law for the DFT cell and can differ from measured ones.

The 10 most intense peaks (5 to 70 degrees two-theta), sorted by position:
(0 1 0), 17.4°, intensity 64.2; (1 -1 1), 26.2°, intensity 60.4; (1 0 1), 28.8°, intensity 100.0; (1 1 0), 30.7°, intensity 62.7; (1 0 -2), 32.2°, intensity 91.1; (-2 1 1), 33.7°, intensity 73.2; (1 -2 1), 34.3°, intensity 73.7; (0 2 -1), 34.6°, intensity 69.0; (2 0 -1), 35.4°, intensity 50.0; (1 1 -2), 36.5°, intensity 47.4

Cell and atoms:
```
data_YP2N4
_chemical_formula_sum 'Y2 P4 N8'
_cell_length_a 5.542
_cell_length_b 5.757
_cell_length_c 5.770
_cell_angle_alpha 98.07
_cell_angle_beta 104.60
_cell_angle_gamma 112.90
_space_group_name_H-M_alt 'P 1'
_space_group_IT_number 1
_space_group_name_Hall 'P 1'
loop_
_atom_site_label
_atom_site_fract_x
_atom_site_fract_y
_atom_site_fract_z
_atom_site_occupancy
Y1 0.000 0.000 0.000 1
Y2 0.241 0.826 0.552 1
P1 0.104 0.333 0.628 1
P2 0.585 0.943 0.219 1
P3 0.612 0.489 0.351 1
P4 0.702 0.409 0.858 1
N1 0.356 0.251 0.781 1
N2 0.432 0.660 0.302 1
N3 0.455 0.157 0.309 1
N4 0.524 0.874 0.933 1
N5 0.789 0.618 0.663 1
N6 0.817 0.546 0.167 1
N7 0.889 0.263 0.803 1
N8 0.923 0.066 0.379 1
```